No. 1
This entry pairs a crystal structure of Nd7As5Se with its computed XRD peak list. Radiation: copper Kα. Structure: a cell relaxed with GGA-PBE.
Intensities are scaled so that the largest is 100.

Crystal structure
a = 14.0617 Å, b = 4.2303 Å, c = 24.9602 Å
α = 90.00°, β = 90.04°, γ = 90.00°
Space group C2/m (No. 12)
One atom of each set of equivalent atoms:
Nd 0.0456 0.0000 0.2501
Nd 0.0874 0.5000 0.1045
Nd 0.0871 0.5000 0.3956
Nd 0.1376 0.0000 0.5356
Nd 0.1375 0.0000 0.9645
Nd 0.1793 0.5000 0.6764
Nd 0.1791 0.5000 0.8237
As 0.0000 0.5000 0.0000
As 0.0000 0.5000 0.5000
As 0.0459 0.0000 0.6459
As 0.0456 0.0000 0.8541
As 0.2271 0.0000 0.0744
As 0.2269 0.0000 0.4255
Se 0.2016 0.5000 0.2495

Main lines, by angle (10° ≤ 2θ ≤ 90°):
(1 1 -4), 2θ = 26.23°, I 20; (2 0 7), 2θ = 28.06°, I 98; (3 1 1), 2θ = 28.65°, I 17; (3 1 2), 2θ = 29.33°, I 100; (3 1 -3), 2θ = 30.42°, I 92; (2 0 8), 2θ = 31.37°, I 27; (1 1 -9), 2θ = 39.37°, I 23; (5 1 4), 2θ = 41.16°, I 21; (6 0 5), 2θ = 42.59°, I 83; (0 2 0), 2θ = 42.72°, I 63; (6 0 -6), 2θ = 44.38°, I 32; (2 2 7), 2θ = 51.92°, I 35

=====

No. 2
This entry pairs a crystal structure of NdAsSe4 with its computed XRD peak list. Radiation: copper Kα. Structure: a cell relaxed with GGA-PBE.
Intensities are scaled so that the largest is 100.

Crystal structure
a = 6.1375 Å, b = 9.4721 Å, c = 6.3627 Å
α = 90.00°, β = 102.10°, γ = 90.00°
Space group P2_1/m (No. 11)
One atom of each set of equivalent atoms:
Nd 0.1282 0.2500 0.1880
As 0.3963 0.7500 0.3300
Se 0.2016 0.5624 0.1000
Se 0.2208 0.2500 0.6683
Se 0.3599 0.7500 0.6882

Main lines, by angle (10° ≤ 2θ ≤ 90°):
(1 0 -1), 2θ = 18.26°, I 71; (0 2 0), 2θ = 18.74°, I 100; (0 2 1), 2θ = 23.61°, I 33; (1 0 -2), 2θ = 29.44°, I 39; (2 1 0), 2θ = 31.27°, I 66; (1 3 0), 2θ = 32.03°, I 34; (0 2 2), 2θ = 34.50°, I 46; (2 0 1), 2θ = 35.83°, I 34; (1 3 1), 2θ = 36.52°, I 38; (0 4 0), 2θ = 38.00°, I 33; (0 3 2), 2θ = 40.72°, I 39; (2 3 0), 2θ = 41.52°, I 60

=====

No. 3
This entry pairs a crystal structure of NdAsSe with its computed XRD peak list. Radiation: copper Kα. Structure: a cell relaxed with GGA-PBE.
Intensities are scaled so that the largest is 100.

Crystal structure
a = 4.0205 Å, b = 4.0205 Å, c = 18.1314 Å
α = 90.00°, β = 90.00°, γ = 90.00°
Space group I4/mmm (No. 139)
One atom of each set of equivalent atoms:
Nd 0.0000 0.0000 0.1390
As 0.0000 0.5000 0.0000
Se 0.0000 0.0000 0.3120

Main lines, by angle (10° ≤ 2θ ≤ 90°):
(1 0 1), 2θ = 22.65°, I 31; (0 0 6), 2θ = 29.56°, I 44; (1 1 0), 2θ = 31.47°, I 38; (1 1 2), 2θ = 33.02°, I 79; (1 0 5), 2θ = 33.27°, I 46; (1 1 4), 2θ = 37.34°, I 100; (1 0 7), 2θ = 41.47°, I 50; (2 0 0), 2θ = 45.10°, I 59; (2 0 6), 2θ = 54.85°, I 30; (1 0 11), 2θ = 60.73°, I 25; (2 1 7), 2θ = 62.92°, I 29; (2 1 11), 2θ = 78.76°, I 23

=====

No. 4
This entry pairs a crystal structure of Nd6As2Se3 with its computed XRD peak list. Radiation: copper Kα. Structure: a cell relaxed with GGA-PBE.
Intensities are scaled so that the largest is 100.

Crystal structure
a = 7.1549 Å, b = 7.1549 Å, c = 7.2032 Å
α = 90.00°, β = 90.00°, γ = 120.00°
Space group P-31m (No. 162)
One atom of each set of equivalent atoms:
Nd 0.0000 0.3359 0.2572
As 0.3333 0.6667 0.5000
Se 0.0000 0.0000 0.5000
Se 0.3333 0.6667 0.0000

Main lines, by angle (10° ≤ 2θ ≤ 90°):
(1 1 1), 2θ = 27.84°, I 100; (1 1 2), 2θ = 35.36°, I 65; (3 0 0), 2θ = 43.83°, I 41; (2 -1 3), 2θ = 45.50°, I 27; (0 0 4), 2θ = 50.69°, I 9; (4 -2 1), 2θ = 52.73°, I 17; (4 -2 2), 2θ = 57.53°, I 16; (2 2 3), 2θ = 65.02°, I 9; (3 0 4), 2θ = 69.22°, I 20; (4 1 1), 2θ = 70.92°, I 14; (4 1 2), 2θ = 75.03°, I 14; (5 -1 3), 2θ = 81.74°, I 10

=====

No. 5
This entry pairs a crystal structure of NdTmAsSe with its computed XRD peak list. Radiation: copper Kα. Structure: a cell relaxed with GGA-PBE.
Intensities are scaled so that the largest is 100.

Crystal structure
a = 4.1372 Å, b = 4.1372 Å, c = 20.5060 Å
α = 90.00°, β = 90.00°, γ = 120.00°
Space group R3m (No. 160, hexagonal axes)
One atom of each set of equivalent atoms:
Nd 0.0000 0.0000 0.0000
Tm 0.0000 0.0000 0.5081
As 0.0000 0.0000 0.2488
Se 0.0000 0.0000 0.7592

Main lines, by angle (10° ≤ 2θ ≤ 90°):
(0 0 6), 2θ = 26.07°, I 5; (0 1 2), 2θ = 26.35°, I 16; (1 0 4), 2θ = 30.44°, I 100; (0 1 8), 2θ = 43.41°, I 36; (1 1 0), 2θ = 43.76°, I 37; (0 0 12), 2θ = 53.63°, I 6; (0 2 4), 2θ = 54.24°, I 20; (2 0 8), 2θ = 63.34°, I 12; (1 1 12), 2θ = 71.63°, I 15; (2 1 4), 2θ = 72.14°, I 17; (1 2 8), 2θ = 80.16°, I 12; (3 0 0), 2θ = 80.41°, I 6

=====

No. 6
This entry pairs a crystal structure of Nd3SmAs3 with its computed XRD peak list. Radiation: copper Kα. Structure: a cell relaxed with GGA-PBE.
Intensities are scaled so that the largest is 100.

Crystal structure
a = 9.0159 Å, b = 9.0159 Å, c = 9.0159 Å
α = 90.00°, β = 90.00°, γ = 90.00°
Space group P2_13 (No. 198)
One atom of each set of equivalent atoms:
Nd 0.0657 0.4343 0.5657
Nd 0.1832 0.8168 0.3168
Nd 0.1838 0.1838 0.1838
Sm 0.0660 0.5660 0.9340
As 0.0005 0.2517 0.8738

Main lines, by angle (10° ≤ 2θ ≤ 90°):
(2 1 1), 2θ = 24.18°, I 9; (2 2 0), 2θ = 27.99°, I 15; (3 0 1), 2θ = 31.38°, I 100; (3 1 2), 2θ = 37.32°, I 60; (3 3 2), 2θ = 47.29°, I 9; (4 2 2), 2θ = 49.53°, I 18; (4 3 1), 2θ = 51.70°, I 33; (6 1 1), 2θ = 63.62°, I 22; (6 0 2), 2θ = 65.48°, I 11; (5 4 1), 2θ = 67.30°, I 14; (4 4 4), 2θ = 72.66°, I 7; (7 2 1), 2θ = 77.86°, I 15

=====

No. 7
This entry pairs a crystal structure of Nd3Sm2TmAs6 with its computed XRD peak list. Radiation: copper Kα. Structure: a cell relaxed with GGA-PBE.
Intensities are scaled so that the largest is 100.

Crystal structure
a = 18.3881 Å, b = 4.2224 Å, c = 8.4364 Å
α = 90.00°, β = 103.25°, γ = 90.00°
Space group C2/m (No. 12)
One atom of each set of equivalent atoms:
Nd 0.0000 0.0000 0.0000
Nd 0.1671 0.5000 0.3340
Sm 0.1658 0.5000 0.8322
Tm 0.0000 0.0000 0.5000
As 0.9997 0.5000 0.2587
As 0.1634 0.0000 0.5838
As 0.1675 0.0000 0.0814

Main lines, by angle (10° ≤ 2θ ≤ 90°):
(4 0 -2), 2θ = 25.86°, I 19; (6 0 0), 2θ = 29.95°, I 100; (0 2 0), 2θ = 42.86°, I 75; (5 1 -4), 2θ = 50.74°, I 10; (6 2 0), 2θ = 53.17°, I 26; (2 2 -4), 2θ = 62.23°, I 12; (6 0 -6), 2θ = 68.54°, I 4; (1 3 -2), 2θ = 70.58°, I 34; (5 3 2), 2θ = 78.52°, I 25; (12 0 -6), 2θ = 84.33°, I 3

=====

No. 8
This entry pairs a crystal structure of Nd3SmY2As6 with its computed XRD peak list. Radiation: copper Kα. Structure: a cell relaxed with GGA-PBE.
Intensities are scaled so that the largest is 100.

Crystal structure
a = 7.3014 Å, b = 12.6439 Å, c = 7.2971 Å
α = 90.00°, β = 109.46°, γ = 90.00°
Space group C2/m (No. 12)
One atom of each set of equivalent atoms:
Nd 0.0000 0.0000 0.0000
Nd 0.0000 0.3340 0.0000
Sm 0.0000 0.5000 0.5000
Y 0.0000 0.1669 0.5000
As 0.2448 0.0000 0.7427
As 0.2492 0.3320 0.7433

Main lines, by angle (10° ≤ 2θ ≤ 90°):
(0 0 1), 2θ = 12.87°, I 1; (1 3 0), 2θ = 24.77°, I 1; (0 0 2), 2θ = 25.89°, I 11; (1 3 1), 2θ = 29.99°, I 100; (0 6 0), 2θ = 42.92°, I 74; (1 3 3), 2θ = 50.81°, I 6; (4 0 0), 2θ = 53.24°, I 26; (2 6 2), 2θ = 62.31°, I 12; (2 0 4), 2θ = 68.63°, I 2; (4 6 0), 2θ = 70.68°, I 33; (6 0 -2), 2θ = 78.64°, I 25; (2 6 4), 2θ = 84.45°, I 2

=====

No. 9
This entry pairs a crystal structure of TbNd2As3 with its computed XRD peak list. Radiation: copper Kα. Structure: a cell relaxed with GGA-PBE.
Intensities are scaled so that the largest is 100.

Crystal structure
a = 4.2327 Å, b = 5.9820 Å, c = 12.6804 Å
α = 90.00°, β = 90.00°, γ = 90.00°
Space group Immm (No. 71)
One atom of each set of equivalent atoms:
Tb 0.0000 0.0000 0.0000
Nd 0.0000 0.0000 0.3327
As 0.0000 0.5000 0.0000
As 0.0000 0.5000 0.3377

Main lines, by angle (10° ≤ 2θ ≤ 90°):
(0 1 3), 2θ = 25.80°, I 19; (1 0 3), 2θ = 29.87°, I 100; (2 0 0), 2θ = 42.76°, I 75; (1 1 6), 2θ = 50.61°, I 9; (2 2 0), 2θ = 53.03°, I 26; (0 4 0), 2θ = 62.06°, I 12; (1 3 6), 2θ = 68.35°, I 3; (0 1 9), 2θ = 68.41°, I 1; (3 0 3), 2θ = 70.39°, I 34; (3 2 3), 2θ = 78.30°, I 25; (2 1 9), 2θ = 84.08°, I 3

=====

No. 10
This entry pairs a crystal structure of TbNd2As3 with its computed XRD peak list. Radiation: copper Kα. Structure: a cell relaxed with GGA-PBE.
Intensities are scaled so that the largest is 100.

Crystal structure
a = 4.2304 Å, b = 4.2304 Å, c = 17.9442 Å
α = 90.00°, β = 90.00°, γ = 90.00°
Space group I4/mmm (No. 139)
One atom of each set of equivalent atoms:
Tb 0.0000 0.0000 0.0000
Nd 0.0000 0.0000 0.3338
As 0.0000 0.0000 0.1645
As 0.0000 0.0000 0.5000

Main lines, by angle (10° ≤ 2θ ≤ 90°):
(1 0 3), 2θ = 25.79°, I 19; (1 1 0), 2θ = 29.87°, I 100; (2 0 0), 2θ = 42.75°, I 75; (1 0 9), 2θ = 50.61°, I 9; (2 0 6), 2θ = 53.03°, I 27; (2 2 0), 2θ = 62.06°, I 12; (2 1 9), 2θ = 68.35°, I 4; (3 1 0), 2θ = 70.38°, I 34; (3 1 6), 2θ = 78.30°, I 25; (1 0 15), 2θ = 84.08°, I 3

=====

No. 11
This entry pairs a crystal structure of Nd6TeAs5 with its computed XRD peak list. Radiation: copper Kα. Structure: a cell relaxed with GGA-PBE.
Intensities are scaled so that the largest is 100.

Crystal structure
a = 7.4796 Å, b = 12.9299 Å, c = 7.4659 Å
α = 90.00°, β = 109.52°, γ = 90.00°
Space group C2/m (No. 12)
One atom of each set of equivalent atoms:
Nd 0.2389 0.0000 0.2571
Nd 0.2405 0.1735 0.7427
Te 0.0000 0.5000 0.0000
As 0.0000 0.0000 0.5000
As 0.0000 0.1672 0.0000
As 0.0000 0.3371 0.5000

Main lines, by angle (10° ≤ 2θ ≤ 90°):
(2 0 0), 2θ = 25.26°, I 3; (0 0 2), 2θ = 25.30°, I 9; (1 3 1), 2θ = 29.29°, I 100; (2 0 2), 2θ = 41.90°, I 75; (2 0 -4), 2θ = 49.56°, I 4; (4 0 0), 2θ = 51.92°, I 20; (0 0 4), 2θ = 51.98°, I 7; (4 0 -4), 2θ = 60.75°, I 12; (3 3 -5), 2θ = 68.81°, I 16; (3 3 3), 2θ = 68.89°, I 16; (5 3 1), 2θ = 76.47°, I 10; (2 0 -6), 2θ = 76.57°, I 14

=====

No. 12
This entry pairs a crystal structure of Nd2TmTe2As2 with its computed XRD peak list. Radiation: copper Kα. Structure: a cell relaxed with GGA-PBE.
Intensities are scaled so that the largest is 100.

Crystal structure
a = 5.2728 Å, b = 5.2728 Å, c = 15.7804 Å
α = 90.00°, β = 90.00°, γ = 90.00°
Space group I4/mmm (No. 139)
One atom of each set of equivalent atoms:
Nd 0.0000 0.0000 0.1138
Tm 0.0000 0.0000 0.5000
Te 0.0000 0.0000 0.3094
As 0.0000 0.5000 0.0000

Main lines, by angle (10° ≤ 2θ ≤ 90°):
(0 0 2), 2θ = 11.21°, I 21; (1 1 0), 2θ = 23.87°, I 73; (1 0 5), 2θ = 33.08°, I 100; (2 0 0), 2θ = 34.01°, I 74; (2 1 5), 2θ = 48.17°, I 61; (2 2 0), 2θ = 48.87°, I 33; (3 1 0), 2θ = 55.08°, I 15; (3 0 5), 2θ = 60.27°, I 20; (2 0 10), 2θ = 69.40°, I 14; (3 2 5), 2θ = 71.04°, I 19; (4 1 5), 2θ = 81.15°, I 14; (4 2 0), 2θ = 81.67°, I 13